(1)
# GdYLu6
Calculated X-ray diffraction stick pattern, Cu Kα. Input: a crystal structure in OQMD, relaxed with GGA-PBE.

Crystal structure
```
GdYLu6
1.0
7.0962 0.0000 0.0000
-3.5481 6.1455 0.0000
0.0000 0.0000 5.5403
Gd Y Lu
1 1 6
Cartesian
0.0000 0.0000 0.0000
0.0000 4.0970 2.7701
1.7844 1.0302 2.7701
3.5481 0.0132 0.0000
1.7855 3.0662 0.0000
5.3118 1.0302 2.7701
3.5481 4.0850 2.7701
5.3108 3.0662 0.0000
```

Principal peaks in the range 10 to 90 degrees two-theta, in order of falling intensity:
two_theta	d (Å)	I_rel
33.34	2.687	100.0
32.32	2.770	24.1
29.06	3.073	24.0
62.13	1.494	22.4
58.29	1.583	20.4
51.51	1.774	19.6

(2)
# GdMg
Calculated X-ray diffraction stick pattern, Cu Kα. Input: a crystal structure in OQMD, relaxed with GGA-PBE.

Crystal structure
```
GdMg
1.0
3.8082 0.0000 0.0000
0.0000 3.8082 0.0000
0.0000 0.0000 3.8082
Gd Mg
1 1
Cartesian
0.0000 0.0000 0.0000
1.9041 1.9041 1.9041
```

Principal peaks in the range 10 to 90 degrees two-theta, in order of falling intensity:
two_theta	d (Å)	I_rel
33.27	2.693	100.0
23.36	3.808	62.1
59.45	1.555	37.5
53.83	1.703	26.4
41.05	2.199	19.2
47.77	1.904	18.1